For K2CaC2O6, the PBE geometry in the Materials Project gives the calculated powder XRD pattern in this record (Cu Kα (λ = 1.5418 Å)).

Structural model:
Cell lengths 5.4432, 5.4432, 18.5798 Å; angles 90.00, 90.00, 120.00 degrees
Space group R-3m (No. 166, hexagonal axes)
Inequivalent atoms, fractional coordinates:
K: 0.0000 0.0000 0.2100 x6
Ca: 0.0000 0.0000 0.0000 x3
C: 0.0000 0.0000 0.4109 x6
O: 0.0572 0.5286 0.2552 x18

Largest 10 diffraction maxima, by angle, 2θ from 5° to 70°:
| d (Å) | 2θ/deg | Rel. int. | hkl |
| --- | --- | --- | --- |
| 3.097 | 28.8 | 10 | 0 0 6 |
| 2.918 | 30.6 | 100 | 0 1 5 |
| 2.722 | 32.9 | 41 | 1 1 0 |
| 2.285 | 39.4 | 18 | 2 0 2 |
| 2.102 | 43.0 | 30 | 0 2 4 |
| 1.990 | 45.6 | 16 | 2 0 5 |
| 1.774 | 51.5 | 10 | 2 1 1 |
| 1.729 | 53.0 | 16 | 1 0 10 |
| 1.645 | 55.9 | 12 | 1 1 9 |
| 1.607 | 57.4 | 10 | 1 2 5 |

---

For K3CaPCO7, the PBE geometry in the Materials Project gives the calculated powder XRD pattern in this record (Cu Kα (λ = 1.5418 Å)).

Structural model:
Cell lengths 5.7570, 7.2839, 9.9097 Å; angles 90.00, 91.36, 90.00 degrees
Space group P2_1/m (No. 11)
Inequivalent atoms, fractional coordinates:
K: 0.2380 0.2500 0.4169 x2
K: 0.2562 0.5062 0.7608 x4
Ca: 0.2214 0.7500 0.1336 x2
P: 0.2938 0.2500 0.0822 x2
C: 0.2605 0.7500 0.4257 x2
O: 0.0586 0.7500 0.3625 x2
O: 0.1571 0.2500 0.9446 x2
O: 0.2333 0.0753 0.1660 x4
O: 0.2727 0.7500 0.5568 x2
O: 0.4396 0.7500 0.9445 x2
O: 0.4492 0.7500 0.3548 x2

Largest 10 diffraction maxima, by angle, 2θ from 5° to 70°:
| d (Å) | 2θ/deg | Rel. int. | hkl |
| --- | --- | --- | --- |
| 9.907 | 8.9 | 16 | 0 0 1 |
| 3.642 | 24.4 | 25 | 0 2 0 |
| 2.950 | 30.3 | 33 | 1 2 -1 |
| 2.932 | 30.5 | 100 | 0 2 2 |
| 2.894 | 30.9 | 23 | 1 0 -3 |
| 2.878 | 31.1 | 49 | 2 0 0 |
| 2.835 | 31.6 | 29 | 1 0 3 |
| 2.069 | 43.7 | 17 | 2 2 -2 |
| 2.048 | 44.2 | 24 | 0 2 4 |
| 1.821 | 50.1 | 17 | 0 4 0 |

---

For Li3CaPCO7, the PBE geometry in the Materials Project gives the calculated powder XRD pattern in this record (Cu Kα (λ = 1.5418 Å)).

Structural model:
Cell lengths 4.9277, 6.9534, 8.9213 Å; angles 90.00, 94.09, 90.00 degrees
Space group P2_1/m (No. 11)
Inequivalent atoms, fractional coordinates:
Li: 0.2320 0.0496 0.2378 x4
Li: 0.2556 0.7500 0.5780 x2
Ca: 0.2379 0.2500 0.8493 x2
P: 0.2873 0.7500 0.9003 x2
C: 0.2840 0.2500 0.5365 x2
O: 0.0380 0.2500 0.5781 x2
O: 0.1694 0.5722 0.8122 x4
O: 0.2237 0.7500 0.0695 x2
O: 0.3316 0.2500 0.3936 x2
O: 0.3954 0.2500 0.1013 x2
O: 0.4910 0.2500 0.6350 x2

Largest 10 diffraction maxima, by angle, 2θ from 5° to 70°:
| d (Å) | 2θ/deg | Rel. int. | hkl |
| --- | --- | --- | --- |
| 8.899 | 9.9 | 60 | 0 0 1 |
| 4.439 | 20.0 | 26 | 1 0 -1 |
| 4.178 | 21.3 | 22 | 1 0 1 |
| 3.581 | 24.9 | 19 | 1 1 1 |
| 3.477 | 25.6 | 100 | 0 2 0 |
| 3.422 | 26.0 | 27 | 1 0 -2 |
| 2.739 | 32.7 | 23 | 0 2 2 |
| 2.458 | 36.6 | 17 | 2 0 0 |
| 2.413 | 37.3 | 18 | 2 0 -1 |
| 1.874 | 48.6 | 23 | 0 2 4 |